(1)
# Ni5Rh6
Calculated XRD peak list, Cu Kα, 1.54184 Å. Input: a cell relaxed with GGA-PBE.
Peak positions follow from Bragg's law for the DFT cell and can differ from measured ones.

Top 10 peaks for 5° ≤ 2θ ≤ 70°, by angle:
2θ (°)  Rel. int.
22.24  5
23.52  5
31.29  3
33.54  3
41.92  100
42.07  49
42.36  49
48.32  33
49.11  31
49.47  30

Crystal structure
```
11
Lattice="4.5585 0.0000 0.0000 -0.6544 5.8138 0.0000 -1.4773 -1.9228 5.3444" Properties=species:S:1:pos:R:3 pbc="T T T"
Ni 0.0000 0.0000 0.0000
Ni 0.8121 2.4492 0.5007
Ni 0.8070 0.7496 2.4197
Ni 1.6198 3.1415 2.9247
Ni 1.6147 1.4418 4.8438
Rh -0.6406 4.0556 1.9142
Rh -0.6636 2.2907 3.9084
Rh 0.8051 -1.0342 4.3651
Rh 1.6217 4.9252 0.9793
Rh 3.0903 1.6004 1.4360
Rh 3.0674 -0.1646 3.4302
```

(2)
# Dy5Y4Zr
Calculated XRD peak list, Cu Kα, 1.54184 Å. Input: a cell relaxed with GGA-PBE.
Peak positions follow from Bragg's law for the DFT cell and can differ from measured ones.

Top 10 peaks for 5° ≤ 2θ ≤ 70°, by angle:
2θ (°)  Rel. int.
6.17  10
12.35  4
31.19  100
36.17  50
52.06  29
52.12  6
61.83  3
61.88  10
62.00  27
65.04  12

Crystal structure
```
10
Lattice="6.0931 0.0000 0.0000 0.0000 3.5094 0.0000 -2.0591 0.0000 14.3303" Properties=species:S:1:pos:R:3 pbc="T T T"
Dy 0.0000 0.0000 0.0000
Dy -0.0134 0.0000 8.5986
Dy 1.0059 1.7547 5.7290
Dy 3.0282 1.7547 8.6013
Dy 4.0474 0.0000 5.7317
Y -1.0089 1.7547 11.5237
Y 2.0547 0.0000 2.7358
Y 1.9793 0.0000 11.5945
Y 5.0429 1.7547 2.8066
Zr 3.0466 1.7547 0.0000
```

(3)
# KLiPb11
Calculated XRD peak list, Cu Kα, 1.54184 Å. Input: a cell relaxed with GGA-PBE.
Peak positions follow from Bragg's law for the DFT cell and can differ from measured ones.

Top 10 peaks for 5° ≤ 2θ ≤ 70°, by angle:
2θ (°)  Rel. int.
11.15  55
16.05  48
30.34  80
31.19  100
31.60  49
31.81  62
32.42  52
34.36  66
36.04  81
56.82  47

Crystal structure
```
13
Lattice="3.2044 -7.9386 0.0000 3.2044 7.9386 0.0000 -2.8503 0.0000 8.2938" Properties=species:S:1:pos:R:3 pbc="T T T"
K 0.0000 0.0000 0.0000
Li 1.7793 0.0000 4.1469
Pb -1.4251 0.0000 4.1469
Pb 0.1115 2.7964 2.9641
Pb 1.6022 3.9693 0.0000
Pb 3.4470 -2.7964 5.3297
Pb 0.3500 1.6993 6.4055
Pb 0.1115 -2.7964 2.9641
Pb 3.2086 1.6993 1.8883
Pb 1.6022 -3.9693 0.0000
Pb 0.3500 -1.6993 6.4055
Pb 3.4470 2.7964 5.3297
Pb 3.2086 -1.6993 1.8883
```

(4)
# CaPmCd4
Calculated XRD peak list, Cu Kα, 1.54184 Å. Input: a cell relaxed with GGA-PBE.
Peak positions follow from Bragg's law for the DFT cell and can differ from measured ones.

Top 10 peaks for 5° ≤ 2θ ≤ 70°, by angle:
2θ (°)  Rel. int.
15.91  21
24.37  20
32.07  100
32.15  50
35.86  45
36.08  88
49.00  17
49.95  17
63.10  22
64.60  15

Crystal structure
```
12
Lattice="8.8409 0.0000 0.0000 0.0000 8.6065 0.0000 -2.8219 0.0000 4.1370" Properties=species:S:1:pos:R:3 pbc="T T T"
Ca 0.0000 0.0000 0.0000
Ca 4.4205 4.3032 0.0000
Pm -1.4110 4.1116 2.0685
Pm 3.0095 8.4149 2.0685
Cd 1.3765 5.6524 0.9466
Cd 0.0540 7.0818 3.0737
Cd 1.5445 2.7785 1.0634
Cd 0.2220 1.3491 3.1904
Cd 5.7970 1.3491 0.9466
Cd 4.4745 2.7785 3.0737
Cd 5.9650 7.0818 1.0634
Cd 4.6425 5.6524 3.1904
```

(5)
# Mn3Ga4Ni9
Calculated XRD peak list, Cu Kα, 1.54184 Å. Input: a cell relaxed with GGA-PBE.
Peak positions follow from Bragg's law for the DFT cell and can differ from measured ones.

Top 5 peaks for 5° ≤ 2θ ≤ 70°, by angle:
2θ (°)  Rel. int.
26.98  1
43.26  100
47.73  37
55.42  12
69.80  11

Crystal structure
```
16
Lattice="5.3899 0.0000 0.0000 0.0000 5.3899 0.0000 0.0000 0.0000 6.6320" Properties=species:S:1:pos:R:3 pbc="T T T"
Mn 0.0000 0.0000 0.0000
Mn 0.0000 2.6950 3.3160
Mn 2.6950 0.0000 3.3160
Ga 0.0000 0.0000 3.3160
Ga 0.0000 2.6950 0.0000
Ga 2.6950 0.0000 0.0000
Ga 2.6950 2.6950 3.3160
Ni 1.3655 1.3655 1.6486
Ni 1.3655 1.3655 4.9834
Ni 1.3655 4.0244 1.6486
Ni 1.3655 4.0244 4.9834
Ni 2.6950 2.6950 0.0000
Ni 4.0244 1.3655 1.6486
Ni 4.0244 1.3655 4.9834
Ni 4.0244 4.0244 1.6486
Ni 4.0244 4.0244 4.9834
```